1.
This entry pairs a crystal structure of Li2Mg with its simulated powder diffractogram. Radiation: Cu Kα (λ = 1.5418 Å). Structure: a cell relaxed with GGA-PBE.

Largest 8 diffraction maxima, low angle first, 2θ = 5–70°:
- 2θ = 11.16°, intensity 32.0
- 2θ = 17.62°, intensity 50.2
- 2θ = 20.91°, intensity 15.2
- 2θ = 33.90°, intensity 42.6
- 2θ = 35.68°, intensity 24.8
- 2θ = 38.46°, intensity 100.0
- 2θ = 50.05°, intensity 29.1
- 2θ = 65.95°, intensity 19.3

Structural model:
```
Li2Mg
1.0
5.0321 0.0000 0.0000
0.0000 3.0540 0.0000
0.0000 0.0000 15.8589
Li Mg
8 4
direct
0.0000 0.0000 0.0000 Li
0.0000 0.0000 0.3329 Li
0.0000 0.0000 0.6662 Li
0.0000 0.5000 0.1662 Li
0.0000 0.5000 0.5000 Li
0.0000 0.5000 0.8329 Li
0.5000 0.0000 0.5551 Li
0.5000 0.5000 0.0551 Li
0.5000 0.0000 0.2198 Mg
0.5000 0.0000 0.8897 Mg
0.5000 0.5000 0.3897 Mg
0.5000 0.5000 0.7198 Mg
```

***

2.
This entry pairs a crystal structure of ZrZnGe with its simulated powder diffractogram. Radiation: Cu Kα (λ = 1.5418 Å). Structure: a cell relaxed with GGA-PBE.

Largest 8 diffraction maxima, low angle first, 2θ = 5–70°:
- 2θ = 35.04°, intensity 100.0
- 2θ = 38.14°, intensity 33.1
- 2θ = 39.21°, intensity 11.3
- 2θ = 44.72°, intensity 56.4
- 2θ = 46.37°, intensity 14.8
- 2θ = 48.64°, intensity 18.4
- 2θ = 58.05°, intensity 15.8
- 2θ = 68.20°, intensity 30.4

Structural model:
```
ZrZnGe
1.0
7.0198 0.0000 0.0000
-3.5099 6.0793 0.0000
0.0000 0.0000 3.7436
Zr Zn Ge
3 3 3
direct
0.0000 0.6302 0.0000 Zr
0.3698 0.3698 0.0000 Zr
0.6302 0.0000 0.0000 Zr
0.0000 0.0000 0.0000 Zn
0.3333 0.6667 0.5000 Zn
0.6667 0.3333 0.5000 Zn
0.0000 0.2953 0.5000 Ge
0.2953 0.0000 0.5000 Ge
0.7047 0.7047 0.5000 Ge
```

***

3.
This entry pairs a crystal structure of V3Si2Mo3 with its simulated powder diffractogram. Radiation: Cu Kα (λ = 1.5418 Å). Structure: a cell relaxed with GGA-PBE.

Largest 8 diffraction maxima, low angle first, 2θ = 5–70°:
- 2θ = 18.45°, intensity 4.7
- 2θ = 26.21°, intensity 25.6
- 2θ = 32.20°, intensity 5.8
- 2θ = 37.40°, intensity 16.5
- 2θ = 42.01°, intensity 100.0
- 2θ = 46.23°, intensity 30.0
- 2θ = 46.28°, intensity 8.9
- 2θ = 67.51°, intensity 9.4

Structural model:
```
V3Si2Mo3
1.0
3.3976 1.9616 2.7821
-3.3976 1.9616 2.7821
0.0000 -3.9232 2.7821
V Si Mo
3 2 3
direct
0.0000 0.2507 0.7493 V
0.2507 0.7493 0.0000 V
0.7493 0.0000 0.2507 V
0.2445 0.2445 0.2445 Si
0.7555 0.7555 0.7555 Si
0.2499 0.7501 0.5000 Mo
0.5000 0.2499 0.7501 Mo
0.7501 0.5000 0.2499 Mo
```